For Fe2TcAg, a cell relaxed with GGA-PBE gives the theoretical powder X-ray diffraction pattern in this record (Cu Kα (λ = 1.5418 Å)).
Lines closer than 0.1° are merged.

Peak list (10 most intense, 2θ from 10° to 90°, low angle first)
2θ = 24.06°, d = 3.698 Å, rel. 17; 2θ = 31.95°, d = 2.801 Å, rel. 11; 2θ = 40.40°, d = 2.233 Å, rel. 99; 2θ = 41.28°, d = 2.187 Å, rel. 100; 2θ = 46.62°, d = 1.948 Å, rel. 64; 2θ = 49.28°, d = 1.849 Å, rel. 29; 2θ = 70.17°, d = 1.341 Å, rel. 35; 2θ = 81.64°, d = 1.179 Å, rel. 19; 2θ = 83.39°, d = 1.159 Å, rel. 22; 2θ = 86.77°, d = 1.122 Å, rel. 11

Cell and atoms:
Lattice parameters (Å, degrees): 2.712 3.698 5.602 90.00 90.00 90.00
Space group Pmmm (No. 47)
Unique sites:
Fe (0.000, 0.000, 0.214) [2 per cell]
Tc (0.500, 0.500, 0.000) [1 per cell]
Ag (0.500, 0.500, 0.500) [1 per cell]


For AsP3O, a cell relaxed with GGA-PBE gives the theoretical powder X-ray diffraction pattern in this record (Cu Kα (λ = 1.5418 Å)).
Lines closer than 0.1° are merged.

Peak list (10 most intense, 2θ from 10° to 90°, low angle first)
2θ = 21.08°, d = 4.215 Å, rel. 10; 2θ = 29.98°, d = 2.981 Å, rel. 46; 2θ = 36.94°, d = 2.434 Å, rel. 100; 2θ = 42.91°, d = 2.108 Å, rel. 70; 2θ = 53.23°, d = 1.721 Å, rel. 17; 2θ = 62.30°, d = 1.490 Å, rel. 44; 2θ = 70.67°, d = 1.333 Å, rel. 7; 2θ = 74.69°, d = 1.271 Å, rel. 38; 2θ = 78.63°, d = 1.217 Å, rel. 15; 2θ = 86.36°, d = 1.127 Å, rel. 8

Cell and atoms:
Lattice parameters (Å, degrees): 4.215 4.215 4.215 90.00 90.00 90.00
Space group Pm-3m (No. 221)
Unique sites:
As (0.000, 0.000, 0.000) [1 per cell]
P (0.000, 0.500, 0.500) [3 per cell]
O (0.500, 0.500, 0.500) [1 per cell]


For Tl8HgO4, a cell relaxed with GGA-PBE gives the theoretical powder X-ray diffraction pattern in this record (Cu Kα (λ = 1.5418 Å)).
Lines closer than 0.1° are merged.

Peak list (10 most intense, 2θ from 10° to 90°, low angle first)
2θ = 29.90°, d = 2.988 Å, rel. 30; 2θ = 30.27°, d = 2.953 Å, rel. 100; 2θ = 34.95°, d = 2.567 Å, rel. 51; 2θ = 35.06°, d = 2.559 Å, rel. 23; 2θ = 50.12°, d = 1.820 Å, rel. 18; 2θ = 50.55°, d = 1.806 Å, rel. 25; 2θ = 59.79°, d = 1.547 Å, rel. 18; 2θ = 59.99°, d = 1.542 Å, rel. 18; 2θ = 62.95°, d = 1.477 Å, rel. 13; 2θ = 82.26°, d = 1.172 Å, rel. 12

Cell and atoms:
Lattice parameters (Å, degrees): 12.505 7.226 10.910 90.00 124.74 90.00
Space group C2/m (No. 12)
Unique sites:
Tl (0.082, 0.248, 0.331) [8 per cell]
Tl (0.167, 0.000, 0.670) [4 per cell]
Tl (0.168, 0.500, 0.669) [4 per cell]
Hg (0.000, 0.500, 0.000) [2 per cell]
O (0.000, 0.253, 0.500) [4 per cell]
O (0.246, 0.500, 0.494) [4 per cell]